Diffraction record for Gd2Ga9Ir3. The powder diffraction line list is computed, not measured: it uses a structure optimized by DFT (GGA-PBE) and Cu Kα (λ = 1.5418 Å).
Neutral-atom scattering factors, no anomalous dispersion.

Top 6 peaks for 2θ = 10–90°, low angle first:
2θ 30.02, rel. 63
2θ 36.80, rel. 73
2θ 41.09, rel. 100
2θ 44.79, rel. 30
2θ 45.44, rel. 28
2θ 56.94, rel. 27

Atomic structure:
Cell lengths 13.1626, 7.6207, 9.5560 Å; angles 90.00, 90.00, 90.00 degrees
Space group Cmcm (No. 63)
Inequivalent atoms, fractional coordinates:
Gd: 0.1645 0.1674 0.2500 [8 per cell]
Ga: 0.0000 0.1256 0.7500 [4 per cell]
Ga: 0.0000 0.3339 0.0605 [8 per cell]
Ga: 0.1044 0.4413 0.7500 [8 per cell]
Ga: 0.1667 0.1673 0.5763 [16 per cell]
Ir: 0.0000 0.0000 0.0000 [4 per cell]
Ir: 0.1714 0.5000 0.0000 [8 per cell]

Diffraction record for Gd2MnGa6. The powder diffraction line list is computed, not measured: it uses a structure optimized by DFT (GGA-PBE) and Cu Kα (λ = 1.5418 Å).
Neutral-atom scattering factors, no anomalous dispersion.

Top 6 peaks for 2θ = 10–90°, low angle first:
2θ 28.90, rel. 33
2θ 35.59, rel. 100
2θ 41.33, rel. 66
2θ 59.88, rel. 39
2θ 71.64, rel. 31
2θ 75.37, rel. 12

Atomic structure:
Cell lengths 8.7374, 8.7374, 8.7374 Å; angles 90.00, 90.00, 90.00 degrees
Space group Fm-3m (No. 225)
Inequivalent atoms, fractional coordinates:
Gd: 0.2500 0.2500 0.2500 [8 per cell]
Mn: 0.0000 0.0000 0.0000 [4 per cell]
Ga: 0.0000 0.0000 0.2783 [24 per cell]

Diffraction record for Gd3Mn3Ga2Si. The powder diffraction line list is computed, not measured: it uses a structure optimized by DFT (GGA-PBE) and Cu Kα (λ = 1.5418 Å).
Neutral-atom scattering factors, no anomalous dispersion.

Top 6 peaks for 2θ = 10–90°, low angle first:
2θ 29.20, rel. 31
2θ 33.30, rel. 89
2θ 36.48, rel. 100
2θ 38.94, rel. 32
2θ 43.57, rel. 26
2θ 58.77, rel. 23

Atomic structure:
Cell lengths 7.0553, 4.1548, 7.0622 Å; angles 90.00, 119.89, 90.00 degrees
Space group Pm (No. 6)
Inequivalent atoms, fractional coordinates:
Gd: 0.0000 0.0000 0.0000 [1 per cell]
Gd: 0.1604 0.0000 0.5883 [1 per cell]
Gd: 0.5893 0.0000 0.4287 [1 per cell]
Mn: 0.3438 0.5000 0.0001 [1 per cell]
Mn: 0.5955 0.5000 0.7762 [1 per cell]
Mn: 0.8097 0.5000 0.2425 [1 per cell]
Ga: 0.2500 0.5000 0.3400 [1 per cell]
Ga: 0.5824 0.0000 0.0052 [1 per cell]
Si: 0.9168 0.5000 0.6719 [1 per cell]

Diffraction record for Gd2NbGaO7. The powder diffraction line list is computed, not measured: it uses a structure optimized by DFT (GGA-PBE) and Cu Kα (λ = 1.5418 Å).
Neutral-atom scattering factors, no anomalous dispersion.

Top 6 peaks for 2θ = 10–90°, low angle first:
2θ 29.52, rel. 100
2θ 30.08, rel. 96
2θ 34.54, rel. 62
2θ 49.63, rel. 62
2θ 58.55, rel. 29
2θ 59.52, rel. 27

Atomic structure:
Cell lengths 7.2389, 7.4400, 10.4058 Å; angles 90.00, 90.00, 90.00 degrees
Space group Imma (No. 74)
Inequivalent atoms, fractional coordinates:
Gd: 0.0000 0.0000 0.0000 [4 per cell]
Gd: 0.2500 0.2500 0.2500 [4 per cell]
Nb: 0.0000 0.0000 0.5000 [4 per cell]
Ga: 0.2500 0.2500 0.7500 [4 per cell]
O: 0.0000 0.2500 0.1255 [4 per cell]
O: 0.0000 0.2500 0.4198 [4 per cell]
O: 0.0000 0.2500 0.8327 [4 per cell]
O: 0.2044 0.0427 0.6252 [16 per cell]

Diffraction record for Gd3Ga2Ni6. The powder diffraction line list is computed, not measured: it uses a structure optimized by DFT (GGA-PBE) and Cu Kα (λ = 1.5418 Å).
Neutral-atom scattering factors, no anomalous dispersion.

Top 6 peaks for 2θ = 10–90°, low angle first:
2θ 31.67, rel. 35
2θ 34.79, rel. 46
2θ 37.67, rel. 26
2θ 40.38, rel. 26
2θ 42.95, rel. 100
2θ 78.71, rel. 26

Atomic structure:
Cell lengths 8.9338, 8.9338, 8.9338 Å; angles 90.00, 90.00, 90.00 degrees
Space group Im-3m (No. 229)
Inequivalent atoms, fractional coordinates:
Gd: 0.0000 0.0000 0.2896 [12 per cell]
Ga: 0.2500 0.2500 0.2500 [8 per cell]
Ni: 0.0000 0.3386 0.3386 [24 per cell]

Diffraction record for Gd3GaO6. The powder diffraction line list is computed, not measured: it uses a structure optimized by DFT (GGA-PBE) and Cu Kα (λ = 1.5418 Å).
Neutral-atom scattering factors, no anomalous dispersion.

Top 6 peaks for 2θ = 10–90°, low angle first:
2θ 29.99, rel. 100
2θ 30.28, rel. 39
2θ 32.45, rel. 20
2θ 45.23, rel. 22
2θ 45.86, rel. 18
2θ 50.28, rel. 23

Atomic structure:
Cell lengths 9.0557, 11.3565, 5.5186 Å; angles 90.00, 90.00, 90.00 degrees
Space group Cmc2_1 (No. 36)
Inequivalent atoms, fractional coordinates:
Gd: 0.0000 0.1029 0.0000 [4 per cell]
Gd: 0.1935 0.3943 0.9547 [8 per cell]
Ga: 0.0000 0.3075 0.4223 [4 per cell]
O: 0.0000 0.2850 0.7559 [4 per cell]
O: 0.0000 0.4598 0.2847 [4 per cell]
O: 0.1566 0.2370 0.2480 [8 per cell]
O: 0.1599 0.0152 0.7257 [8 per cell]

Diffraction record for GdGaO3. The powder diffraction line list is computed, not measured: it uses a structure optimized by DFT (GGA-PBE) and Cu Kα (λ = 1.5418 Å).
Neutral-atom scattering factors, no anomalous dispersion.

Top 6 peaks for 2θ = 10–90°, low angle first:
2θ 31.85, rel. 20
2θ 32.75, rel. 100
2θ 33.35, rel. 25
2θ 46.78, rel. 19
2θ 53.12, rel. 17
2θ 59.22, rel. 22

Atomic structure:
Cell lengths 5.6197, 7.7034, 5.3732 Å; angles 90.00, 90.00, 90.00 degrees
Space group Pnma (No. 62)
Inequivalent atoms, fractional coordinates:
Gd: 0.0631 0.2500 0.0169 [4 per cell]
Ga: 0.0000 0.0000 0.5000 [4 per cell]
O: 0.0323 0.7500 0.3980 [4 per cell]
O: 0.1990 0.5529 0.8013 [8 per cell]